Structure and computed powder XRD pattern of K2RbPrV2O8 (a structure optimized by DFT (GGA+U); copper Kα).
Lines closer than 0.1° are merged.

Cell and atoms:
Cell: 6.1563 6.1563 7.9127 Å, 90.00 90.00 120.00°
Space group P-3m1 (No. 164)
Inequivalent atoms, fractional coordinates:
K1 0.3333 0.6667 0.2007 (multiplicity 2)
Rb1 0.0000 0.0000 0.5000 (multiplicity 1)
Pr1 0.0000 0.0000 0.0000 (multiplicity 1)
V1 0.3333 0.6667 0.7415 (multiplicity 2)
O1 0.1780 0.3560 0.8192 (multiplicity 6)
O2 0.3333 0.6667 0.5286 (multiplicity 2)

Peak list (10 most intense, 5° ≤ 2θ ≤ 70°, by angle)
Position (°2θ)  d_spacing  I/Imax  h k l
16.63  5.332  31  1 0 0
20.08  4.422  21  1 0 1
28.09  3.177  100  0 1 2
29.01  3.078  92  1 1 0
40.82  2.211  51  2 0 2
50.85  1.796  35  1 2 2
51.42  1.777  17  3 0 0
55.19  1.664  24  1 1 4
60.12  1.539  17  2 2 0
67.64  1.385  16  3 1 2